[1]
# Ac2LaF11
Computed powder XRD pattern, CuKα. Input: a DFT-relaxed cell (PBE, Alexandria).
No peak broadening, texture or thermal motion is included.

Cell and atoms:
```
Ac2LaF11
1.0
-4.586 5.483 6.031
4.586 -5.483 6.031
4.586 5.483 -6.031
Ac La F
4 2 22
Direct
0.192 0.170 0.362
0.308 0.670 0.978
0.692 0.330 0.022
0.808 0.830 0.638
0.250 0.750 0.500
0.750 0.250 0.500
0.000 0.000 0.000
0.024 0.452 0.768
0.062 0.830 0.626
0.181 0.897 0.078
0.184 0.952 0.428
0.204 0.436 0.374
0.296 0.670 0.232
0.316 0.744 0.768
0.319 0.397 0.715
0.438 0.064 0.768
0.476 0.244 0.428
0.500 0.500 0.000
0.524 0.756 0.572
0.562 0.936 0.232
0.681 0.603 0.285
0.684 0.256 0.232
0.704 0.330 0.768
0.796 0.564 0.626
0.816 0.048 0.572
0.819 0.103 0.922
0.938 0.170 0.374
0.976 0.548 0.232
```

Peak list (8 most intense, 2θ = 10–80°, low angle first)
- 14.7 deg, d 6.031, I = 63
- 19.4 deg, d 4.579, I = 87
- 20.3 deg, d 4.384, I = 71
- 21.9 deg, d 4.057, I = 100
- 22.3 deg, d 3.992, I = 100
- 24.4 deg, d 3.650, I = 42
- 41.0 deg, d 2.199, I = 38
- 41.3 deg, d 2.186, I = 57


[2]
# AcLaF6
Computed powder XRD pattern, CuKα. Input: a DFT-relaxed cell (PBE, Alexandria).
No peak broadening, texture or thermal motion is included.

Cell and atoms:
```
AcLaF6
1.0
5.756 0.000 0.000
0.000 5.756 0.000
0.000 0.000 8.475
Ac La F
2 2 12
Direct
0.000 0.000 0.000
0.000 0.000 0.500
0.500 0.500 0.250
0.500 0.500 0.750
0.196 0.246 0.185
0.196 0.246 0.815
0.246 0.804 0.315
0.246 0.804 0.685
0.308 0.335 0.500
0.335 0.692 0.000
0.665 0.308 0.000
0.692 0.665 0.500
0.754 0.196 0.315
0.754 0.196 0.685
0.804 0.754 0.185
0.804 0.754 0.815
```

Peak list (8 most intense, 2θ = 10–80°, low angle first)
- 21.8 deg, d 4.070, I = 95
- 26.1 deg, d 3.412, I = 100
- 31.1 deg, d 2.878, I = 20
- 41.0 deg, d 2.200, I = 80
- 44.5 deg, d 2.035, I = 21
- 48.4 deg, d 1.879, I = 23
- 50.1 deg, d 1.820, I = 19
- 52.3 deg, d 1.748, I = 24